# 1
Diffraction record for Cs3Np3InS8. The powder diffraction line list is calculated, not measured: it uses a cell relaxed with PBE and Cu Kα (λ = 1.5418 Å).

Most intense lines, 10 to 80 degrees two-theta, most intense first:
| 2θ/deg | I/Imax | hkl |
| --- | --- | --- |
| 29.17 | 100 | 2 2 -2 |
| 10.87 | 70 | 0 0 1 |
| 26.22 | 56 | 2 2 0 |
| 21.83 | 56 | 0 0 2 |
| 29.05 | 51 | 4 0 0 |
| 38.97 | 40 | 2 2 2 |
| 44.16 | 35 | 6 2 -2 |
| 26.07 | 29 | 4 0 -2 |
| 49.78 | 25 | 6 2 -4 |
| 14.44 | 23 | 1 1 -1 |

Atomic structure:
```
data_Cs3Np3InS8
_symmetry_space_group_name_H-M 'C 1 2/m 1'
_symmetry_Int_Tables_number 12
_cell_length_a 14.2382
_cell_length_b 8.1555
_cell_length_c 9.4258
_cell_angle_alpha 90.00
_cell_angle_beta 120.27
_cell_angle_gamma 90.00
loop_
_symmetry_equiv_pos_as_xyz
'x,y,z'
'-x,-y,-z'
'-x,y,-z'
'x,-y,z'
'x+1/2,y+1/2,z'
'-x+1/2,-y+1/2,-z'
'-x+1/2,y+1/2,-z'
'x+1/2,-y+1/2,z'
loop_
_atom_site_label
_atom_site_fract_x
_atom_site_fract_y
_atom_site_fract_z
_atom_site_occupancy
Cs1 0.0000 0.0000 0.0000 1
Cs2 0.2500 0.2500 0.0000 1
Np1 0.0000 0.5000 0.5000 1
Np2 0.2500 0.2500 0.5000 1
In1 0.0000 0.0000 0.5000 1
S1 0.0243 0.2495 0.3244 1
S2 0.2246 0.0000 0.6734 1
S3 0.2266 0.5000 0.6795 1
```

# 2
Diffraction record for Cs6InO4. The powder diffraction line list is calculated, not measured: it uses a cell relaxed with PBE and Cu Kα (λ = 1.5418 Å).

Most intense lines, 10 to 80 degrees two-theta, most intense first:
| 2θ/deg | I/Imax | hkl |
| --- | --- | --- |
| 26.14 | 100 | 0 0 2 |
| 21.47 | 36 | 2 0 1 |
| 29.73 | 19 | 2 2 0 |
| 48.13 | 17 | 4 2 1 |
| 28.86 | 14 | 3 0 1 |
| 43.43 | 13 | 2 0 3 |
| 46.12 | 13 | 4 2 0 |
| 40.95 | 13 | 3 1 2 |
| 62.42 | 11 | 4 2 3 |
| 36.96 | 11 | 3 0 2 |

Atomic structure:
```
data_Cs6InO4
_symmetry_space_group_name_H-M 'P 63 m c'
_symmetry_Int_Tables_number 186
_symmetry_space_group_name_Hall 'P 6c -2c'
_cell_length_a 12.0218
_cell_length_b 12.0218
_cell_length_c 6.8213
_cell_angle_alpha 90.00
_cell_angle_beta 90.00
_cell_angle_gamma 120.00
loop_
_atom_site_label
_atom_site_fract_x
_atom_site_fract_y
_atom_site_fract_z
_atom_site_occupancy
Cs1 0.1143 0.5572 0.0000 1
Cs2 0.1575 0.3151 0.5704 1
In1 0.3333 0.6667 0.4123 1
O1 0.2402 0.4803 0.2805 1
O2 0.3333 0.6667 0.7195 1
```